Entry 1:
Computed XRD peak list
Compound: CsSb4Au5
Radiation: copper Kα
Structure: a crystal structure in Alexandria, relaxed with GGA-PBE
No peak broadening, texture or thermal motion is included.

Most intense lines, 2θ = 15–90°, low angle first:
2θ = 25.25°, intensity 45.1, (3 1 0); 2θ = 30.27°, intensity 100.0, (2 2 1); 2θ = 32.38°, intensity 46.8, (3 1 1); 2θ = 38.08°, intensity 41.9, (4 0 1); 2θ = 39.82°, intensity 65.4, (3 3 1); 2θ = 48.34°, intensity 51.3, (3 1 2)

Structural model:
```
data_CsSb4Au5
_chemical_formula_sum 'Cs2 Sb8 Au10'
_cell_length_a 11.1532
_cell_length_b 11.1532
_cell_length_c 4.4539
_cell_angle_alpha 90.00
_cell_angle_beta 90.00
_cell_angle_gamma 90.00
_space_group_name_H-M_alt 'P 4/n'
_space_group_IT_number 85
loop_
_space_group_symop_operation_xyz
'x,y,z'
'-x,-y,-z'
'-y+1/2,x,z'
'y+1/2,-x,-z'
'-x+1/2,-y+1/2,z'
'x+1/2,y+1/2,-z'
'y,-x+1/2,z'
'-y,x+1/2,-z'
loop_
_atom_site_label
_atom_site_fract_x
_atom_site_fract_y
_atom_site_fract_z
Cs1 0.2500 0.7500 0.0000
Sb1 0.0287 0.2493 0.4992
Au1 0.0852 0.4139 0.0409
Au2 0.2500 0.2500 0.7719
```

Entry 2:
Computed XRD peak list
Compound: KCe2NpS5
Radiation: copper Kα
Structure: a crystal structure in Alexandria, relaxed with GGA-PBE
No peak broadening, texture or thermal motion is included.

Most intense lines, 2θ = 15–90°, low angle first:
2θ = 24.92°, intensity 23.4, (0 2 0); 2θ = 25.13°, intensity 100.0, (1 1 2); 2θ = 34.30°, intensity 25.7, (0 1 5); 2θ = 35.84°, intensity 48.0, (2 0 0); 2θ = 36.35°, intensity 42.5, (1 2 3); 2θ = 44.01°, intensity 24.3, (1 3 2)

Structural model:
```
data_KCe2NpS5
_chemical_formula_sum 'K2 Ce4 Np2 S10'
_cell_length_a 5.0142
_cell_length_b 7.1469
_cell_length_c 14.0461
_cell_angle_alpha 90.00
_cell_angle_beta 90.00
_cell_angle_gamma 90.00
_space_group_name_H-M_alt 'I m m m'
_space_group_IT_number 71
_space_group_name_Hall '-I 2 2'
loop_
_atom_site_label
_atom_site_fract_x
_atom_site_fract_y
_atom_site_fract_z
K1 0.0000 0.0000 0.0000
Ce1 0.0000 0.5000 0.2047
Np1 0.0000 0.0000 0.5000
S1 0.0000 0.2356 0.3475
S2 0.0000 0.5000 0.0000
```

Question: What is the formula in the second record?
Answer: KCe2NpS5